[1]
The following is a theoretical X-ray powder pattern of Na2Sn3Bi3. It was derived from a PBE-relaxed structure, using Cu Ka.
Lines closer than 0.1° are merged.

Atomic structure:
```
data_Na2Sn3Bi3
_symmetry_space_group_name_H-M 'C m c m'
_symmetry_Int_Tables_number 63
_symmetry_space_group_name_Hall '-C 2c 2'
_cell_length_a 5.2273
_cell_length_b 12.5609
_cell_length_c 15.8035
_cell_angle_alpha 90.00
_cell_angle_beta 90.00
_cell_angle_gamma 90.00
loop_
_atom_site_label
_atom_site_type_symbol
_atom_site_fract_x
_atom_site_fract_y
_atom_site_fract_z
_atom_site_occupancy
Na1 Na 0.0000 0.2292 0.0887 1
Sn1 Sn 0.0000 0.4075 0.2500 1
Sn2 Sn 0.0000 0.4423 0.5881 1
Bi1 Bi 0.0000 0.0824 0.5909 1
Bi2 Bi 0.0000 0.2515 0.7500 1
```

The 12 most intense peaks (2θ from 10° to 90°), by intensity:
| 2θ/deg | I_rel | h k l |
| --- | --- | --- |
| 32.24 | 100 | 1 3 3 |
| 19.23 | 25 | 1 1 1 |
| 34.31 | 23 | 2 0 0 |
| 34.04 | 22 | 0 0 6 |
| 18.04 | 19 | 0 2 2 |
| 60.14 | 19 | 3 3 3 |
| 49.10 | 17 | 2 0 6 |
| 59.79 | 16 | 1 3 9 |
| 15.18 | 13 | 0 2 1 |
| 26.66 | 11 | 0 2 4 |
| 67.46 | 11 | 2 6 6 |
| 43.22 | 9 | 0 6 0 |

***

[2]
The following is a theoretical X-ray powder pattern of KGaAsS4. It was derived from a PBE-relaxed structure, using Cu Ka.
Lines closer than 0.1° are merged.

Atomic structure:
```
data_KGaAsS4
_symmetry_space_group_name_H-M 'I -4'
_symmetry_Int_Tables_number 82
_symmetry_space_group_name_Hall 'I -4'
_cell_length_a 6.7980
_cell_length_b 6.7980
_cell_length_c 8.5890
_cell_angle_alpha 90.00
_cell_angle_beta 90.00
_cell_angle_gamma 90.00
loop_
_atom_site_label
_atom_site_type_symbol
_atom_site_fract_x
_atom_site_fract_y
_atom_site_fract_z
_atom_site_occupancy
K1 K 0.0000 0.0000 0.0000 1
Ga1 Ga 0.0000 0.0000 0.5000 1
As1 As 0.0000 0.5000 0.2500 1
S1 S 0.1713 0.2279 0.3549 1
```

The 12 most intense peaks (2θ from 10° to 90°), by intensity:
| 2θ/deg | I_rel | h k l |
| --- | --- | --- |
| 27.86 | 100 | 1 1 2 |
| 16.63 | 90 | 1 0 1 |
| 47.29 | 38 | 3 1 2 |
| 37.42 | 31 | 2 2 0 |
| 50.26 | 29 | 2 0 4 |
| 31.21 | 22 | 2 1 1 |
| 49.50 | 18 | 3 2 1 |
| 43.42 | 16 | 1 2 3 |
| 26.22 | 9 | 2 0 0 |
| 60.96 | 9 | 2 4 0 |
| 56.86 | 9 | 1 4 1 |
| 76.83 | 8 | 4 2 4 |

***

[3]
The following is a theoretical X-ray powder pattern of Sm4NO3. It was derived from a PBE-relaxed structure, using Cu Ka.
Lines closer than 0.1° are merged.

Atomic structure:
```
data_Sm4NO3
_symmetry_space_group_name_H-M 'I 4/m m m'
_symmetry_Int_Tables_number 139
_symmetry_space_group_name_Hall '-I 4 2'
_cell_length_a 4.9851
_cell_length_b 4.9851
_cell_length_c 9.9998
_cell_angle_alpha 90.00
_cell_angle_beta 90.00
_cell_angle_gamma 90.00
loop_
_atom_site_label
_atom_site_type_symbol
_atom_site_fract_x
_atom_site_fract_y
_atom_site_fract_z
_atom_site_occupancy
Sm1 Sm 0.0000 0.0000 0.2449 1
Sm2 Sm 0.0000 0.5000 0.0000 1
N1 N 0.0000 0.0000 0.0000 1
O1 O 0.0000 0.0000 0.5000 1
O2 O 0.0000 0.5000 0.2500 1
```

The 12 most intense peaks (2θ from 10° to 90°), by intensity:
| 2θ/deg | I_rel | h k l |
| --- | --- | --- |
| 31.04 | 100 | 1 1 2 |
| 51.82 | 54 | 2 2 0 |
| 36.03 | 52 | 2 0 0 |
| 61.70 | 30 | 3 1 2 |
| 35.92 | 26 | 0 0 4 |
| 64.71 | 18 | 2 2 4 |
| 87.48 | 16 | 4 2 0 |
| 61.55 | 15 | 1 1 6 |
| 84.62 | 13 | 3 1 6 |
| 87.25 | 8 | 2 0 8 |
| 84.75 | 6 | 3 3 2 |
| 76.43 | 6 | 4 0 0 |

***

[4]
The following is a theoretical X-ray powder pattern of Tl6In8Pb. It was derived from a PBE-relaxed structure, using Cu Ka.
Lines closer than 0.1° are merged.

Atomic structure:
```
data_Tl6In8Pb
_symmetry_space_group_name_H-M 'P -1'
_symmetry_Int_Tables_number 2
_symmetry_space_group_name_Hall '-P 1'
_cell_length_a 5.7940
_cell_length_b 8.4411
_cell_length_c 9.3096
_cell_angle_alpha 105.35
_cell_angle_beta 94.03
_cell_angle_gamma 96.40
loop_
_atom_site_label
_atom_site_type_symbol
_atom_site_fract_x
_atom_site_fract_y
_atom_site_fract_z
_atom_site_occupancy
Tl1 Tl 0.0731 0.1368 0.3972 1
Tl2 Tl 0.1369 0.2738 0.7994 1
Tl3 Tl 0.2716 0.5461 0.6006 1
In1 In 0.2057 0.4056 0.1901 1
In2 In 0.3334 0.6687 0.9968 1
In3 In 0.3991 0.8044 0.3948 1
In4 In 0.4693 0.9391 0.8061 1
Pb1 Pb 0.0000 0.0000 0.0000 1
```

The 12 most intense peaks (2θ from 10° to 90°), by intensity:
| 2θ/deg | I_rel | h k l |
| --- | --- | --- |
| 31.69 | 100 | 2 -1 0 |
| 32.02 | 48 | 0 3 -1 |
| 32.21 | 47 | 1 1 -3 |
| 35.08 | 38 | -1 2 2 |
| 35.87 | 36 | 1 -2 3 |
| 39.91 | 26 | 2 2 -1 |
| 60.88 | 15 | -3 3 2 |
| 61.61 | 15 | 3 -3 3 |
| 50.95 | 13 | 2 -4 1 |
| 51.15 | 13 | 0 0 5 |
| 54.19 | 11 | 3 0 2 |
| 54.33 | 11 | 3 0 -3 |